Calculated powder diffractogram of LiUCoO6 for a wavelength of 1.5418 Å, from a DFT-relaxed cell (GGA+U, Alexandria).

Principal peaks in the range 5 to 70 degrees two-theta, in order of falling intensity:
h k l  d (Å)  two_theta  intensity
1 0 1  4.182  21.25  100.0
1 1 0  3.317  26.88  69.3
1 0 3  2.573  34.87  53.1
2 1 3  1.733  52.82  46.1
1 1 2  2.694  33.26  34.4
0 0 2  4.616  19.23  32.0
2 1 1  2.046  44.28  31.9
3 0 3  1.395  67.11  24.7

Cell and atoms:
```
data_LiUCoO6
_chemical_formula_sum 'Li2 U2 Co2 O12'
_cell_length_a 4.691
_cell_length_b 4.691
_cell_length_c 9.231
_cell_angle_alpha 90.00
_cell_angle_beta 90.00
_cell_angle_gamma 90.00
_symmetry_space_group_name_H-M 'P 42 n m'
_symmetry_Int_Tables_number 102
_symmetry_space_group_name_Hall 'P 4n -2n'
loop_
_atom_site_label
_atom_site_type_symbol
_atom_site_fract_x
_atom_site_fract_y
_atom_site_fract_z
Li1 Li 0.000 0.000 0.000
U1 U 0.000 0.000 0.335
Co1 Co 0.000 0.000 0.669
O1 O 0.186 0.186 0.518
O2 O 0.192 0.192 0.823
O3 O 0.221 0.221 0.175
```